Computed powder diffractogram
Compound: P
Radiation: λ = 1.5418 Å (Cu Kα)
Structure: a cell relaxed with GGA-PBE

a b c (Å): 5.8490 5.8490 4.5524
angles (deg): 90.00 90.00 147.17
Element x y z (fractional)
P  0.0945  0.9055  0.9135
P  0.4055  0.5945  0.4135
P  0.5945  0.4055  0.5865
P  0.9055  0.0945  0.0865

Main lines, sorted by position (5 to 70 degrees two-theta):
2θ 15.80, I 58
2θ 25.19, I 57
2θ 31.90, I 32
2θ 34.47, I 100
2θ 53.28, I 36
2θ 54.77, I 35